For K2Tl3, a DFT-relaxed cell (GGA-PBE, Alexandria) gives the theoretical powder diffractogram in this record (Cu Kα (weighted mean of Kα1 and Kα2)).

Crystal structure
```
K2Tl3
1.0
3.237 -6.270 0.000
3.237 6.270 0.000
0.000 0.000 9.799
K Tl
4 6
Cartesian
3.237 4.326 8.847
3.237 1.944 3.948
3.237 -1.944 5.851
3.237 -4.326 0.952
0.000 0.000 4.900
1.618 1.266 7.349
1.618 -1.266 2.450
3.237 0.000 0.000
4.855 1.266 7.349
4.855 -1.266 2.450
```

Principal peaks in the range 5 to 70 degrees two-theta, low angle first:
2θ = 14.13°, I = 53.5
2θ = 16.79°, I = 100.0
2θ = 17.88°, I = 39.4
2θ = 26.97°, I = 41.8
2θ = 30.87°, I = 43.2
2θ = 32.44°, I = 66.1
2θ = 33.17°, I = 67.8
2θ = 33.95°, I = 41.8
2θ = 36.22°, I = 26.0
2θ = 40.04°, I = 23.4
2θ = 55.42°, I = 26.6
2θ = 56.87°, I = 20.0